# Ca3BeSb3
Simulated PXRD pattern, Cu Kα (λ = 1.5418 Å). Input: a GGA-PBE-relaxed structure.
Neutral-atom scattering factors, no anomalous dispersion.

Peak list (10 most intense, 10 to 90 degrees two-theta, most intense first)
two_theta  I_rel
23.96  100
39.57  98
27.86  78
27.76  75
39.73  65
27.59  65
49.06  47
64.97  19
34.15  18
47.01  16

Crystal structure
```
data_Ca3BeSb3
_chemical_formula_sum 'Ca12 Be4 Sb12'
_cell_length_a 10.1351
_cell_length_b 10.1351
_cell_length_c 12.8553
_cell_angle_alpha 90.00
_cell_angle_beta 90.00
_cell_angle_gamma 37.21
_space_group_name_H-M_alt 'P 1'
_space_group_IT_number 1
loop_
_space_group_symop_operation_xyz
'x,y,z'
loop_
_atom_site_label
_atom_site_type_symbol
_atom_site_fract_x
_atom_site_fract_y
_atom_site_fract_z
_atom_site_occupancy
Ca1 Ca 0.0387 0.6188 0.1298 1
Ca2 Ca 0.1188 0.5387 0.6298 1
Ca3 Ca 0.2051 0.7949 0.8585 1
Ca4 Ca 0.2949 0.7051 0.3585 1
Ca5 Ca 0.3812 0.9613 0.1298 1
Ca6 Ca 0.4613 0.8812 0.6298 1
Ca7 Ca 0.5387 0.1188 0.3702 1
Ca8 Ca 0.6188 0.0387 0.8702 1
Ca9 Ca 0.7051 0.2949 0.6415 1
Ca10 Ca 0.7949 0.2051 0.1415 1
Ca11 Ca 0.8812 0.4613 0.3702 1
Ca12 Ca 0.9613 0.3812 0.8702 1
Be1 Be 0.0847 0.0847 0.5000 1
Be2 Be 0.4153 0.4153 0.0000 1
Be3 Be 0.5847 0.5847 0.0000 1
Be4 Be 0.9153 0.9153 0.5000 1
Sb1 Sb 0.0528 0.6239 0.3812 1
Sb2 Sb 0.1239 0.5528 0.8812 1
Sb3 Sb 0.2137 0.7863 0.6088 1
Sb4 Sb 0.2863 0.7137 0.1088 1
Sb5 Sb 0.3761 0.9472 0.3812 1
Sb6 Sb 0.4472 0.8761 0.8812 1
Sb7 Sb 0.5528 0.1239 0.1188 1
Sb8 Sb 0.6239 0.0528 0.6188 1
Sb9 Sb 0.7137 0.2863 0.8912 1
Sb10 Sb 0.7863 0.2137 0.3912 1
Sb11 Sb 0.8761 0.4472 0.1188 1
Sb12 Sb 0.9472 0.3761 0.6188 1
```

=====

# CaTbBe2Si2
Simulated PXRD pattern, Cu Kα (λ = 1.5418 Å). Input: a GGA-PBE-relaxed structure.
Neutral-atom scattering factors, no anomalous dispersion.

Peak list (10 most intense, 10 to 90 degrees two-theta, most intense first)
two_theta  I_rel
34.16  100
10.64  64
26.32  48
28.47  41
46.46  27
51.63  25
58.91  20
65.56  19
78.15  17
42.14  17

Crystal structure
```
data_CaTbBe2Si2
_chemical_formula_sum 'Ca1 Tb1 Be2 Si2'
_cell_length_a 3.9092
_cell_length_b 3.9092
_cell_length_c 8.3147
_cell_angle_alpha 90.00
_cell_angle_beta 90.00
_cell_angle_gamma 120.00
_space_group_name_H-M_alt 'P 1'
_space_group_IT_number 1
loop_
_space_group_symop_operation_xyz
'x,y,z'
loop_
_atom_site_label
_atom_site_type_symbol
_atom_site_fract_x
_atom_site_fract_y
_atom_site_fract_z
_atom_site_occupancy
Ca1 Ca 0.0000 0.0000 0.0000 1
Tb1 Tb 0.0000 0.0000 0.5000 1
Be1 Be 0.3333 0.6667 0.7341 1
Be2 Be 0.6667 0.3333 0.2659 1
Si1 Si 0.3333 0.6667 0.2604 1
Si2 Si 0.6667 0.3333 0.7396 1
```

=====

# SrCa2Be
Simulated PXRD pattern, Cu Kα (λ = 1.5418 Å). Input: a GGA-PBE-relaxed structure.
Neutral-atom scattering factors, no anomalous dispersion.

Peak list (10 most intense, 10 to 90 degrees two-theta, most intense first)
two_theta  I_rel
31.60  100
26.48  85
24.56  52
30.36  37
39.43  29
54.26  22
16.69  21
43.85  21
55.62  20
54.73  19

Crystal structure
```
data_SrCa2Be
_chemical_formula_sum 'Sr1 Ca2 Be1'
_cell_length_a 7.0800
_cell_length_b 7.0800
_cell_length_c 7.0800
_cell_angle_alpha 148.92
_cell_angle_beta 130.86
_cell_angle_gamma 59.30
_space_group_name_H-M_alt 'P 1'
_space_group_IT_number 1
loop_
_space_group_symop_operation_xyz
'x,y,z'
loop_
_atom_site_label
_atom_site_type_symbol
_atom_site_fract_x
_atom_site_fract_y
_atom_site_fract_z
_atom_site_occupancy
Sr1 Sr 0.0000 0.0000 0.0000 1
Ca1 Ca 0.3119 0.8119 0.5000 1
Ca2 Ca 0.6881 0.1881 0.5000 1
Be1 Be 0.5000 0.5000 0.0000 1
```

=====

# SrCaBe4
Simulated PXRD pattern, Cu Kα (λ = 1.5418 Å). Input: a GGA-PBE-relaxed structure.
Neutral-atom scattering factors, no anomalous dispersion.

Peak list (10 most intense, 10 to 90 degrees two-theta, most intense first)
two_theta  I_rel
33.84  100
20.53  93
39.91  84
60.54  34
64.64  27
53.30  25
23.75  18
75.00  17
71.19  14
81.20  14

Crystal structure
```
data_SrCaBe4
_chemical_formula_sum 'Sr1 Ca1 Be4'
_cell_length_a 5.2978
_cell_length_b 5.2978
_cell_length_c 5.2978
_cell_angle_alpha 60.00
_cell_angle_beta 60.00
_cell_angle_gamma 60.00
_space_group_name_H-M_alt 'P 1'
_space_group_IT_number 1
loop_
_space_group_symop_operation_xyz
'x,y,z'
loop_
_atom_site_label
_atom_site_type_symbol
_atom_site_fract_x
_atom_site_fract_y
_atom_site_fract_z
_atom_site_occupancy
Sr1 Sr 0.0000 0.0000 0.0000 1
Ca1 Ca 0.2500 0.2500 0.2500 1
Be1 Be 0.1719 0.6094 0.6094 1
Be2 Be 0.6094 0.1719 0.6094 1
Be3 Be 0.6094 0.6094 0.1719 1
Be4 Be 0.6094 0.6094 0.6094 1
```

=====

# SrCaYBe2
Simulated PXRD pattern, Cu Kα (λ = 1.5418 Å). Input: a GGA-PBE-relaxed structure.
Neutral-atom scattering factors, no anomalous dispersion.

Peak list (10 most intense, 10 to 90 degrees two-theta, most intense first)
two_theta  I_rel
24.42  100
24.00  89
34.81  50
41.95  47
42.73  38
49.14  36
33.57  27
67.31  22
56.46  19
61.62  18

Crystal structure
```
data_SrCaYBe2
_chemical_formula_sum 'Sr1 Ca1 Y1 Be2'
_cell_length_a 5.1540
_cell_length_b 5.1540
_cell_length_c 5.3392
_cell_angle_alpha 90.00
_cell_angle_beta 90.00
_cell_angle_gamma 90.00
_space_group_name_H-M_alt 'P 1'
_space_group_IT_number 1
loop_
_space_group_symop_operation_xyz
'x,y,z'
loop_
_atom_site_label
_atom_site_type_symbol
_atom_site_fract_x
_atom_site_fract_y
_atom_site_fract_z
_atom_site_occupancy
Sr1 Sr 0.0000 0.0000 0.0000 1
Ca1 Ca 0.0000 0.0000 0.5000 1
Y1 Y 0.5000 0.5000 0.5000 1
Be1 Be 0.0000 0.5000 0.0000 1
Be2 Be 0.5000 0.0000 0.0000 1
```

=====

# CaYBe2
Simulated PXRD pattern, Cu Kα (λ = 1.5418 Å). Input: a GGA-PBE-relaxed structure.
Neutral-atom scattering factors, no anomalous dispersion.

Peak list (10 most intense, 10 to 90 degrees two-theta, most intense first)
two_theta  I_rel
26.70  100
33.47  87
33.25  59
25.04  49
30.62  32
15.17  31
51.32  31
40.14  30
56.69  23
56.48  23

Crystal structure
```
data_CaYBe2
_chemical_formula_sum 'Ca1 Y1 Be2'
_cell_length_a 4.0693
_cell_length_b 6.1312
_cell_length_c 6.1312
_cell_angle_alpha 35.45
_cell_angle_beta 90.00
_cell_angle_gamma 90.00
_space_group_name_H-M_alt 'P 1'
_space_group_IT_number 1
loop_
_space_group_symop_operation_xyz
'x,y,z'
loop_
_atom_site_label
_atom_site_type_symbol
_atom_site_fract_x
_atom_site_fract_y
_atom_site_fract_z
_atom_site_occupancy
Ca1 Ca 0.0000 0.0000 0.0000 1
Y1 Y 0.5000 0.7185 0.7185 1
Be1 Be 0.0000 0.3043 0.3043 1
Be2 Be 0.5000 0.3930 0.3930 1
```

=====

# Be5Cd
Simulated PXRD pattern, Cu Kα (λ = 1.5418 Å). Input: a GGA-PBE-relaxed structure.
Neutral-atom scattering factors, no anomalous dispersion.

Peak list (10 most intense, 10 to 90 degrees two-theta, most intense first)
two_theta  I_rel
23.05  100
33.91  97
47.92  47
24.52  33
40.50  32
47.12  23
69.47  22
55.99  18
53.82  16
66.44  14

Crystal structure
```
data_Be5Cd
_chemical_formula_sum 'Be5 Cd1'
_cell_length_a 4.4546
_cell_length_b 4.4546
_cell_length_c 3.6304
_cell_angle_alpha 90.00
_cell_angle_beta 90.00
_cell_angle_gamma 120.00
_space_group_name_H-M_alt 'P 1'
_space_group_IT_number 1
loop_
_space_group_symop_operation_xyz
'x,y,z'
loop_
_atom_site_label
_atom_site_type_symbol
_atom_site_fract_x
_atom_site_fract_y
_atom_site_fract_z
_atom_site_occupancy
Be1 Be 0.0000 0.5000 0.0000 1
Be2 Be 0.3333 0.6667 0.5000 1
Be3 Be 0.5000 0.0000 0.0000 1
Be4 Be 0.5000 0.5000 0.0000 1
Be5 Be 0.6667 0.3333 0.5000 1
Cd1 Cd 0.0000 0.0000 0.5000 1
```

=====

# BeCd
Simulated PXRD pattern, Cu Kα (λ = 1.5418 Å). Input: a GGA-PBE-relaxed structure.
Neutral-atom scattering factors, no anomalous dispersion.

Peak list (10 most intense, 10 to 90 degrees two-theta, most intense first)
two_theta  I_rel
32.90  100
30.70  69
43.83  53
23.23  52
41.82  49
27.92  46
15.19  32
38.09  32
36.60  30
38.85  29

Crystal structure
```
data_BeCd
_chemical_formula_sum 'Be8 Cd8'
_cell_length_a 9.0062
_cell_length_b 3.8189
_cell_length_c 7.6567
_cell_angle_alpha 90.00
_cell_angle_beta 90.00
_cell_angle_gamma 90.00
_space_group_name_H-M_alt 'P 1'
_space_group_IT_number 1
loop_
_space_group_symop_operation_xyz
'x,y,z'
loop_
_atom_site_label
_atom_site_type_symbol
_atom_site_fract_x
_atom_site_fract_y
_atom_site_fract_z
_atom_site_occupancy
Be1 Be 0.0276 0.2500 0.0613 1
Be2 Be 0.1544 0.7500 0.1116 1
Be3 Be 0.3456 0.2500 0.6116 1
Be4 Be 0.4724 0.7500 0.5613 1
Be5 Be 0.5276 0.2500 0.4387 1
Be6 Be 0.6544 0.7500 0.3883 1
Be7 Be 0.8456 0.2500 0.8884 1
Be8 Be 0.9724 0.7500 0.9387 1
Cd1 Cd 0.0712 0.2500 0.6911 1
Cd2 Cd 0.2003 0.2500 0.3368 1
Cd3 Cd 0.2997 0.7500 0.8368 1
Cd4 Cd 0.4288 0.7500 0.1911 1
Cd5 Cd 0.5712 0.2500 0.8089 1
Cd6 Cd 0.7003 0.2500 0.1632 1
Cd7 Cd 0.7997 0.7500 0.6632 1
Cd8 Cd 0.9288 0.7500 0.3089 1
```

=====

# Be4Cd5
Simulated PXRD pattern, Cu Kα (λ = 1.5418 Å). Input: a GGA-PBE-relaxed structure.
Neutral-atom scattering factors, no anomalous dispersion.

Peak list (10 most intense, 10 to 90 degrees two-theta, most intense first)
two_theta  I_rel
38.55  100
14.55  58
32.20  49
44.66  32
78.20  21
29.35  21
65.36  19
45.12  16
20.64  13
78.86  12

Crystal structure
```
data_Be4Cd5
_chemical_formula_sum 'Be4 Cd5'
_cell_length_a 6.4100
_cell_length_b 6.4100
_cell_length_c 6.4100
_cell_angle_alpha 95.64
_cell_angle_beta 95.64
_cell_angle_gamma 143.46
_space_group_name_H-M_alt 'P 1'
_space_group_IT_number 1
loop_
_space_group_symop_operation_xyz
'x,y,z'
loop_
_atom_site_label
_atom_site_type_symbol
_atom_site_fract_x
_atom_site_fract_y
_atom_site_fract_z
_atom_site_occupancy
Be1 Be 0.0000 0.3773 0.3773 1
Be2 Be 0.0000 0.6227 0.6227 1
Be3 Be 0.3773 0.0000 0.3773 1
Be4 Be 0.6227 0.0000 0.6227 1
Cd1 Cd 0.0000 0.0000 0.0000 1
Cd2 Cd 0.3267 0.3267 0.6534 1
Cd3 Cd 0.3267 0.6733 0.0000 1
Cd4 Cd 0.6733 0.3267 0.0000 1
Cd5 Cd 0.6733 0.6733 0.3466 1
```

=====

# BeCd
Simulated PXRD pattern, Cu Kα (λ = 1.5418 Å). Input: a GGA-PBE-relaxed structure.
Neutral-atom scattering factors, no anomalous dispersion.

Peak list (10 most intense, 10 to 90 degrees two-theta, most intense first)
two_theta  I_rel
33.60  100
11.54  64
39.44  62
45.06  32
35.11  30
58.37  26
23.20  25
58.01  21
75.78  17
79.34  15

Crystal structure
```
data_BeCd
_chemical_formula_sum 'Be2 Cd2'
_cell_length_a 2.8453
_cell_length_b 2.8453
_cell_length_c 7.6679
_cell_angle_alpha 90.00
_cell_angle_beta 90.00
_cell_angle_gamma 90.00
_space_group_name_H-M_alt 'P 1'
_space_group_IT_number 1
loop_
_space_group_symop_operation_xyz
'x,y,z'
loop_
_atom_site_label
_atom_site_type_symbol
_atom_site_fract_x
_atom_site_fract_y
_atom_site_fract_z
_atom_site_occupancy
Be1 Be 0.2500 0.2500 0.0706 1
Be2 Be 0.7500 0.7500 0.9294 1
Cd1 Cd 0.2500 0.2500 0.6741 1
Cd2 Cd 0.7500 0.7500 0.3259 1
```

=====

# Be6Cd
Simulated PXRD pattern, Cu Kα (λ = 1.5418 Å). Input: a GGA-PBE-relaxed structure.
Neutral-atom scattering factors, no anomalous dispersion.

Peak list (10 most intense, 10 to 90 degrees two-theta, most intense first)
two_theta  I_rel
21.70  100
38.05  74
59.73  38
30.87  33
49.78  22
44.23  16
85.47  13
68.76  12
73.05  10
77.25  9

Crystal structure
```
data_Be6Cd
_chemical_formula_sum 'Be6 Cd1'
_cell_length_a 5.0164
_cell_length_b 5.0164
_cell_length_c 5.0164
_cell_angle_alpha 109.47
_cell_angle_beta 109.47
_cell_angle_gamma 109.47
_space_group_name_H-M_alt 'P 1'
_space_group_IT_number 1
loop_
_space_group_symop_operation_xyz
'x,y,z'
loop_
_atom_site_label
_atom_site_type_symbol
_atom_site_fract_x
_atom_site_fract_y
_atom_site_fract_z
_atom_site_occupancy
Be1 Be 0.2500 0.5000 0.7500 1
Be2 Be 0.2500 0.7500 0.5000 1
Be3 Be 0.5000 0.2500 0.7500 1
Be4 Be 0.5000 0.7500 0.2500 1
Be5 Be 0.7500 0.2500 0.5000 1
Be6 Be 0.7500 0.5000 0.2500 1
Cd1 Cd 0.0000 0.0000 0.0000 1
```

=====

# BeCd5
Simulated PXRD pattern, Cu Kα (λ = 1.5418 Å). Input: a GGA-PBE-relaxed structure.
Neutral-atom scattering factors, no anomalous dispersion.

Peak list (10 most intense, 10 to 90 degrees two-theta, most intense first)
two_theta  I_rel
26.72  100
39.88  81
38.74  72
33.02  65
32.82  58
39.41  54
56.91  34
21.14  28
48.22  28
40.62  17

Crystal structure
```
data_BeCd5
_chemical_formula_sum 'Be1 Cd5'
_cell_length_a 7.0286
_cell_length_b 7.0286
_cell_length_c 8.4060
_cell_angle_alpha 126.62
_cell_angle_beta 126.62
_cell_angle_gamma 23.69
_space_group_name_H-M_alt 'P 1'
_space_group_IT_number 1
loop_
_space_group_symop_operation_xyz
'x,y,z'
loop_
_atom_site_label
_atom_site_type_symbol
_atom_site_fract_x
_atom_site_fract_y
_atom_site_fract_z
_atom_site_occupancy
Be1 Be 0.0000 0.0000 0.0000 1
Cd1 Cd 0.0000 0.0000 0.5000 1
Cd2 Cd 0.3455 0.3455 0.0075 1
Cd3 Cd 0.3681 0.3681 0.6511 1
Cd4 Cd 0.6319 0.6319 0.3489 1
Cd5 Cd 0.6545 0.6545 0.9925 1
```